No. 1
TbSi6Pd12: calculated PXRD pattern (copper Kα), based on the GGA-PBE geometry in Alexandria.
No peak broadening, texture or thermal motion is included.

Structure:
```
19
Lattice="5.642 3.258 2.776 -5.642 3.258 2.776 0.000 -6.515 2.776" Properties=species:S:1:pos:R:3 pbc="T T T"
Tb 0.000 0.000 0.000
Si 0.000 -2.864 3.321
Si -2.480 1.432 3.321
Si -2.480 -1.432 5.006
Si 2.480 1.432 3.321
Si 2.480 -1.432 5.006
Si 0.000 2.864 5.006
Pd -2.119 -3.671 4.164
Pd -4.239 0.000 4.164
Pd -1.466 -0.847 2.861
Pd 1.466 -0.847 2.861
Pd 0.000 1.693 2.861
Pd 2.119 -3.671 4.164
Pd -2.119 3.671 4.164
Pd 0.000 -1.693 5.466
Pd -1.466 0.847 5.466
Pd 1.466 0.847 5.466
Pd 4.239 0.000 4.164
Pd 2.119 3.671 4.164
```

Peak list (8 most intense, 10° ≤ 2θ ≤ 80°, low angle first)
2theta	I_rel
27.38	18
28.16	17
34.81	100
36.06	51
39.68	19
42.80	30
51.66	32
65.81	16

***

No. 2
Mg5Tl3Pb3: calculated PXRD pattern (copper Kα), based on the GGA-PBE geometry in Alexandria.
No peak broadening, texture or thermal motion is included.

Structure:
```
11
Lattice="9.241 0.000 0.000 -4.621 8.003 0.000 0.000 0.000 4.914" Properties=species:S:1:pos:R:3 pbc="T T T"
Mg -1.538 2.664 0.000
Mg 3.076 0.000 0.000
Mg 0.000 5.335 0.000
Mg 4.621 2.668 0.000
Mg 3.082 5.339 0.000
Tl -3.357 5.815 0.000
Tl 1.264 2.189 0.000
Tl 6.714 0.000 0.000
Pb -2.352 4.074 2.457
Pb 2.268 3.929 2.457
Pb 4.705 0.000 2.457
```

Peak list (8 most intense, 10° ≤ 2θ ≤ 80°, low angle first)
2theta	I_rel
19.21	74
21.22	31
28.77	100
29.53	29
34.83	25
38.39	35
43.26	43
45.33	27

***

No. 3
NpCdSn: calculated PXRD pattern (copper Kα), based on the GGA-PBE geometry in Alexandria.
No peak broadening, texture or thermal motion is included.

Structure:
```
3
Lattice="5.261 0.000 0.000 -2.631 4.557 0.000 0.000 0.000 3.032" Properties=species:S:1:pos:R:3 pbc="T T T"
Np 0.000 0.000 0.000
Cd 0.000 3.038 1.516
Sn 2.631 1.519 1.516
```

Peak list (8 most intense, 10° ≤ 2θ ≤ 80°, low angle first)
2theta	I_rel
19.48	22
34.08	100
35.56	100
50.08	38
61.00	19
61.97	41
71.76	12
71.88	24

***

No. 4
BaHRh: calculated PXRD pattern (copper Kα), based on the GGA-PBE geometry in Alexandria.
No peak broadening, texture or thermal motion is included.

Structure:
```
12
Lattice="4.814 0.000 0.000 0.000 10.542 0.000 -0.017 0.000 5.189" Properties=species:S:1:pos:R:3 pbc="T T T"
Ba 0.000 1.517 0.000
Ba -0.008 9.025 2.594
Ba 2.398 3.754 2.594
Ba 2.407 6.788 0.000
H 4.808 4.090 1.087
H 4.800 6.452 3.681
H 2.393 1.181 3.681
H 2.401 9.361 1.087
Rh 4.796 4.912 4.771
Rh 4.804 5.630 2.177
Rh 2.398 0.359 2.177
Rh 2.389 10.183 4.771
```

Peak list (8 most intense, 10° ≤ 2θ ≤ 80°, low angle first)
2theta	I_rel
24.07	35
26.64	100
31.52	88
34.57	35
36.07	38
37.36	38
38.31	23
47.48	43

***

No. 5
CuSe5F: calculated PXRD pattern (copper Kα), based on the GGA-PBE geometry in Alexandria.
No peak broadening, texture or thermal motion is included.

Structure:
```
7
Lattice="3.897 0.000 0.000 1.888 6.136 0.000 1.591 2.175 7.070" Properties=species:S:1:pos:R:3 pbc="T T T"
Cu 0.000 0.000 0.000
Se 2.188 3.660 0.827
Se 1.892 0.683 1.252
Se 3.800 4.359 4.477
Se 3.581 2.208 5.545
Se 5.335 5.256 6.178
F 3.577 7.085 3.131
```

Peak list (8 most intense, 10° ≤ 2θ ≤ 80°, low angle first)
2theta	I_rel
12.52	100
28.60	36
29.99	41
30.49	78
37.31	37
39.16	29
46.67	22
49.25	21

***

No. 6
SrBe3N3: calculated PXRD pattern (copper Kα), based on the GGA-PBE geometry in Alexandria.
No peak broadening, texture or thermal motion is included.

Structure:
```
14
Lattice="5.460 0.000 0.000 0.037 5.745 0.000 1.449 2.484 5.860" Properties=species:S:1:pos:R:3 pbc="T T T"
Sr 0.985 2.786 1.565
Sr 5.962 5.442 4.295
Be 1.844 7.775 5.096
Be 2.760 3.512 4.097
Be 3.094 6.103 2.917
Be 3.852 2.125 2.943
Be 4.186 4.717 1.763
Be 5.102 0.454 0.764
N 1.998 3.665 5.498
N 2.407 1.649 3.638
N 2.753 4.492 2.708
N 4.193 3.736 3.152
N 4.539 6.579 2.222
N 4.948 4.564 0.362
```

Peak list (8 most intense, 10° ≤ 2θ ≤ 80°, low angle first)
2theta	I_rel
16.73	100
24.78	46
25.18	22
25.87	43
28.81	57
30.05	35
31.19	28
39.31	22

***

No. 7
Pm8InPb5: calculated PXRD pattern (copper Kα), based on the GGA-PBE geometry in Alexandria.
No peak broadening, texture or thermal motion is included.

Structure:
```
14
Lattice="-4.817 4.817 4.818 4.817 -4.817 4.818 4.817 4.817 -4.818" Properties=species:S:1:pos:R:3 pbc="T T T"
Pm 4.165 3.084 -2.927
Pm 4.125 1.741 0.534
Pm 3.076 -0.691 4.284
Pm 0.651 1.733 1.890
Pm 1.741 5.508 -0.534
Pm 1.733 -0.651 7.745
Pm 3.084 5.468 2.927
Pm 0.691 3.076 5.351
In 0.000 4.817 2.409
Pb 1.205 2.423 -1.193
Pb 7.211 1.205 1.193
Pb 0.000 0.000 4.818
Pb 3.611 2.394 3.625
Pb -2.394 3.611 6.010
```

Peak list (8 most intense, 10° ≤ 2θ ≤ 80°, low angle first)
2theta	I_rel
29.32	100
34.84	63
41.94	18
44.09	13
48.16	21
59.11	30
62.48	14
72.04	20

***

No. 8
KPSe2: calculated PXRD pattern (copper Kα), based on the GGA-PBE geometry in Alexandria.
No peak broadening, texture or thermal motion is included.

Structure:
```
16
Lattice="6.480 0.000 0.000 -2.086 6.199 0.000 -1.039 -3.458 11.946" Properties=species:S:1:pos:R:3 pbc="T T T"
K -0.246 1.398 4.242
K -0.616 5.054 0.894
K 3.971 -2.314 11.053
K 3.600 1.343 7.704
P -0.720 4.031 6.941
P 0.507 -0.497 9.938
P 2.848 3.237 2.008
P 4.074 -1.291 5.005
Se 0.982 -2.723 9.694
Se 0.535 -0.096 7.528
Se 0.975 2.191 1.352
Se -0.264 4.800 4.592
Se 3.619 -2.060 7.354
Se 2.380 0.550 10.595
Se 2.820 2.837 4.419
Se 2.373 5.463 2.252
```

Peak list (8 most intense, 10° ≤ 2θ ≤ 80°, low angle first)
2theta	I_rel
14.65	77
17.75	30
28.41	72
29.54	98
29.95	100
31.03	41
31.41	36
32.04	30

***

No. 9
Rb2H2Se2O: calculated PXRD pattern (copper Kα), based on the GGA-PBE geometry in Alexandria.
No peak broadening, texture or thermal motion is included.

Structure:
```
14
Lattice="4.616 0.000 0.000 0.000 7.800 0.000 0.000 0.000 9.352" Properties=species:S:1:pos:R:3 pbc="T T T"
Rb 0.000 0.000 2.329
Rb 0.000 0.000 7.024
Rb 2.308 3.900 2.348
Rb 2.308 3.900 7.005
H 0.000 2.929 4.676
H 0.000 4.871 4.676
H 2.308 0.971 0.000
H 2.308 6.828 0.000
Se 0.000 2.688 0.000
Se 0.000 5.111 0.000
Se 2.308 1.212 4.676
Se 2.308 6.588 4.676
O 0.000 3.900 4.676
O 2.308 0.000 0.000
```

Peak list (8 most intense, 10° ≤ 2θ ≤ 80°, low angle first)
2theta	I_rel
14.79	15
21.47	27
29.51	100
29.83	28
38.50	19
39.03	18
39.79	27
56.57	19

***

No. 10
K3Pd3WSe8: calculated PXRD pattern (copper Kα), based on the GGA-PBE geometry in Alexandria.
No peak broadening, texture or thermal motion is included.

Structure:
```
15
Lattice="6.753 -3.895 0.000 6.753 3.895 0.000 -4.482 0.000 7.483" Properties=species:S:1:pos:R:3 pbc="T T T"
K 0.000 0.000 0.000
K 3.377 1.947 0.000
K 3.377 -1.947 0.000
Pd 1.136 1.947 3.741
Pd 1.136 -1.947 3.741
Pd 4.512 0.000 3.741
W -2.241 0.000 3.741
Se -0.046 0.000 5.046
Se 3.418 1.982 5.044
Se 5.607 1.982 2.439
Se 2.245 0.000 2.475
Se 6.780 0.000 5.008
Se 3.418 -1.982 5.044
Se 5.607 -1.982 2.439
Se 9.070 0.000 2.436
```

Peak list (8 most intense, 10° ≤ 2θ ≤ 80°, low angle first)
2theta	I_rel
11.83	100
30.92	89
38.73	34
41.87	19
46.61	34
48.29	12
52.39	16
56.99	15

***

No. 11
TaIn2Ni: calculated PXRD pattern (copper Kα), based on the GGA-PBE geometry in Alexandria.
No peak broadening, texture or thermal motion is included.

Structure:
```
4
Lattice="3.061 0.000 0.000 0.000 3.061 0.000 0.000 0.000 8.081" Properties=species:S:1:pos:R:3 pbc="T T T"
Ta 0.000 0.000 0.000
In 0.000 0.000 4.841
In 1.530 1.530 2.162
Ni 1.530 1.530 6.601
```

Peak list (8 most intense, 10° ≤ 2θ ≤ 80°, low angle first)
2theta	I_rel
10.95	24
31.25	18
36.84	100
41.73	46
44.83	24
54.38	15
60.49	15
73.00	34

***

No. 12
TbGa3CoPt: calculated PXRD pattern (copper Kα), based on the GGA-PBE geometry in Alexandria.
No peak broadening, texture or thermal motion is included.

Structure:
```
12
Lattice="4.003 -5.280 0.000 4.003 5.280 0.000 0.000 0.000 5.361" Properties=species:S:1:pos:R:3 pbc="T T T"
Tb 4.003 3.100 4.021
Tb 4.003 -3.100 1.340
Ga 2.047 0.000 0.000
Ga 2.047 0.000 2.680
Ga 4.003 1.801 1.340
Ga 4.003 -1.801 4.021
Ga 5.958 0.000 0.000
Ga 5.958 0.000 2.680
Co 4.003 0.532 4.021
Co 4.003 -0.532 1.340
Pt 4.003 4.331 1.340
Pt 4.003 -4.331 4.021
```

Peak list (8 most intense, 10° ≤ 2θ ≤ 80°, low angle first)
2theta	I_rel
13.88	35
22.21	68
32.42	53
37.99	51
40.50	100
44.44	67
45.31	36
60.57	26

***

No. 13
Hg4AuI: calculated PXRD pattern (copper Kα), based on the GGA-PBE geometry in Alexandria.
No peak broadening, texture or thermal motion is included.

Structure:
```
12
Lattice="6.156 -4.424 0.000 6.156 4.424 0.000 -0.490 0.000 6.812" Properties=species:S:1:pos:R:3 pbc="T T T"
Hg 4.269 2.486 2.634
Hg 6.156 2.533 0.000
Hg 3.100 0.000 1.749
Hg 7.554 2.486 4.179
Hg 4.269 -2.486 2.634
Hg 8.722 0.000 5.064
Hg 6.156 -2.533 0.000
Hg 7.554 -2.486 4.179
Au 0.323 0.000 2.126
Au 11.499 0.000 4.686
I 3.869 0.000 5.716
I 7.953 0.000 1.097
```

Peak list (8 most intense, 10° ≤ 2θ ≤ 80°, low angle first)
2theta	I_rel
12.33	52
28.59	100
29.05	49
33.19	53
35.58	34
38.79	34
39.42	33
40.79	57